The following is a computed XRD peak list of NiGe3Pt2. It was derived from a PBE-relaxed structure, using a wavelength of 1.5418 Å.
Intensities are scaled so that the largest is 100.

The 8 most intense peaks (10° ≤ 2θ ≤ 90°), by angle:
3.310 Å, 26.9 deg, rel. 87; 3.287 Å, 27.1 deg, rel. 47; 2.800 Å, 32.0 deg, rel. 38; 2.059 Å, 44.0 deg, rel. 100; 2.053 Å, 44.1 deg, rel. 67; 2.045 Å, 44.3 deg, rel. 32; 1.915 Å, 47.5 deg, rel. 41; 1.902 Å, 47.8 deg, rel. 76

Atomic structure:
Cell lengths 6.4667, 6.4667, 8.4371 Å; angles 96.35, 96.35, 34.46 degrees
Atoms (fractional coordinates):
Ni: 0.0000 0.0000 0.0000
Ni: 0.5000 0.5000 0.5000
Ge: 0.0208 0.0208 0.3159
Ge: 0.3087 0.3087 0.3588
Ge: 0.3751 0.3751 0.9696
Ge: 0.6249 0.6249 0.0304
Ge: 0.6913 0.6913 0.6412
Ge: 0.9792 0.9792 0.6841
Pt: 0.1675 0.1675 0.8448
Pt: 0.3393 0.3393 0.6654
Pt: 0.6607 0.6607 0.3346
Pt: 0.8325 0.8325 0.1552